(1)
This entry pairs a crystal structure of PrHf3Si4 with its theoretical XRD peak list. Radiation: a wavelength of 1.5418 Å. Structure: a crystal structure in OQMD, relaxed with PBE.

```
data_PrHf3Si4
_chemical_formula_sum 'Pr1 Hf3 Si4'
_symmetry_space_group_name_H-M 'P 1 m 1'
_symmetry_Int_Tables_number 6
_cell_length_a 5.432
_cell_length_b 3.805
_cell_length_c 7.293
_cell_angle_alpha 90.00
_cell_angle_beta 91.28
_cell_angle_gamma 90.00
loop_
_symmetry_equiv_pos_as_xyz
'x,y,z'
'x,-y,z'
loop_
_atom_site_label
_atom_site_type_symbol
_atom_site_fract_x
_atom_site_fract_y
_atom_site_fract_z
_atom_site_occupancy
Pr1 Pr 0.000 0.000 0.000 1
Hf1 Hf 0.256 0.000 0.499 1
Hf2 Hf 0.495 0.500 0.153 1
Hf3 Hf 0.747 0.500 0.637 1
Si1 Si 0.009 0.500 0.300 1
Si2 Si 0.243 0.500 0.765 1
Si3 Si 0.509 0.000 0.853 1
Si4 Si 0.728 0.000 0.371 1
```

Main lines, by intensity (5 to 70 degrees two-theta):
2θ (°)	I/Imax	h k l
34.06	100.0	0 1 2
31.07	68.1	1 1 -1
28.65	65.8	1 1 0
31.36	56.9	1 1 1
35.53	52.9	2 0 1
35.00	52.0	2 0 -1
47.81	36.5	0 2 0
38.24	36.0	1 1 2
24.42	31.5	0 0 2
42.52	29.4	2 1 -1
40.32	29.1	1 0 -3
55.70	24.7	2 1 -3



(2)
This entry pairs a crystal structure of Hf3Sb4Pt4 with its theoretical XRD peak list. Radiation: a wavelength of 1.5418 Å. Structure: a crystal structure in OQMD, relaxed with PBE.

```
data_Hf3Sb4Pt4
_chemical_formula_sum 'Hf3 Sb4 Pt4'
_symmetry_space_group_name_H-M 'P 1 m 1'
_symmetry_Int_Tables_number 6
_cell_length_a 6.969
_cell_length_b 4.263
_cell_length_c 7.818
_cell_angle_alpha 90.00
_cell_angle_beta 94.70
_cell_angle_gamma 90.00
loop_
_symmetry_equiv_pos_as_xyz
'x,y,z'
'x,-y,z'
loop_
_atom_site_label
_atom_site_type_symbol
_atom_site_fract_x
_atom_site_fract_y
_atom_site_fract_z
_atom_site_occupancy
Hf1 Hf 0.000 0.000 0.000 1
Hf2 Hf 0.047 0.500 0.398 1
Hf3 Hf 0.531 0.000 0.928 1
Sb1 Sb 0.307 0.000 0.613 1
Sb2 Sb 0.321 0.500 0.088 1
Sb3 Sb 0.703 0.000 0.323 1
Sb4 Sb 0.740 0.500 0.768 1
Pt1 Pt 0.144 0.500 0.773 1
Pt2 Pt 0.290 0.000 0.281 1
Pt3 Pt 0.771 0.500 0.124 1
Pt4 Pt 0.909 0.000 0.627 1
```

Main lines, by intensity (5 to 70 degrees two-theta):
2θ (°)	I/Imax	h k l
34.54	100.0	2 1 -1
40.68	74.1	0 1 3
42.41	43.4	0 2 0
36.03	38.6	2 0 2
32.98	32.8	1 1 -2
44.53	23.7	3 1 0
56.83	21.9	2 2 2
12.75	21.8	1 0 0
41.98	15.3	2 1 2
50.63	14.2	3 0 -3
33.28	13.2	2 1 0
68.12	11.7	3 2 -3



(3)
This entry pairs a crystal structure of Hf3Sb4Pt4 with its theoretical XRD peak list. Radiation: a wavelength of 1.5418 Å. Structure: a crystal structure in OQMD, relaxed with PBE.

```
data_Hf3Sb4Pt4
_chemical_formula_sum 'Hf6 Sb8 Pt8'
_symmetry_space_group_name_H-M 'I -4 2 m'
_symmetry_Int_Tables_number 121
_symmetry_space_group_name_Hall 'I -4 2'
_cell_length_a 6.382
_cell_length_b 6.382
_cell_length_c 12.520
_cell_angle_alpha 90.00
_cell_angle_beta 90.00
_cell_angle_gamma 90.00
loop_
_atom_site_label
_atom_site_type_symbol
_atom_site_fract_x
_atom_site_fract_y
_atom_site_fract_z
_atom_site_occupancy
Hf1 Hf 0.000 0.000 0.000 1
Hf2 Hf 0.000 0.500 0.250 1
Sb1 Sb 0.000 0.000 0.267 1
Sb2 Sb 0.000 0.500 0.000 1
Pt1 Pt 0.234 0.234 0.131 1
```

Main lines, by intensity (5 to 70 degrees two-theta):
2θ (°)	I/Imax	h k l
40.36	100.0	2 0 4
24.31	71.3	1 1 2
39.95	52.3	2 2 0
47.32	22.7	3 1 2
57.78	17.3	4 0 0
48.03	15.0	1 1 6
15.58	14.2	1 0 1
64.20	10.1	3 1 6
38.20	8.0	2 1 3
59.02	7.6	0 0 8
14.15	5.7	0 0 2
63.61	4.4	3 3 2



(4)
This entry pairs a crystal structure of TmHfSi2Pt4 with its theoretical XRD peak list. Radiation: a wavelength of 1.5418 Å. Structure: a crystal structure in OQMD, relaxed with PBE.

```
data_TmHfSi2Pt4
_chemical_formula_sum 'Tm2 Hf2 Si4 Pt8'
_symmetry_space_group_name_H-M 'A m m 2'
_symmetry_Int_Tables_number 38
_cell_length_a 7.000
_cell_length_b 3.838
_cell_length_c 9.893
_cell_angle_alpha 90.00
_cell_angle_beta 90.00
_cell_angle_gamma 90.00
loop_
_symmetry_equiv_pos_as_xyz
'x,y,z'
'-x,-y,z'
'-x,y,z'
'x,-y,z'
'x,y+1/2,z+1/2'
'-x,-y+1/2,z+1/2'
'-x,y+1/2,z+1/2'
'x,-y+1/2,z+1/2'
loop_
_atom_site_label
_atom_site_type_symbol
_atom_site_fract_x
_atom_site_fract_y
_atom_site_fract_z
_atom_site_occupancy
Tm1 Tm 0.000 0.000 0.000 1
Hf1 Hf 0.500 0.000 0.107 1
Si1 Si 0.000 0.000 0.284 1
Si2 Si 0.500 0.000 0.824 1
Pt1 Pt 0.205 0.000 0.693 1
Pt2 Pt 0.302 0.000 0.415 1
```

Main lines, by intensity (5 to 70 degrees two-theta):
2θ (°)	I/Imax	h k l
35.90	100.0	0 1 3
42.85	22.0	3 0 2
38.21	19.9	1 1 3
47.38	17.8	0 2 0
44.87	15.7	2 0 4
66.59	14.4	3 1 5
65.78	12.5	3 2 2
28.01	11.4	1 1 1
36.32	9.5	0 0 4
67.30	9.5	2 2 4
46.46	9.2	3 1 1
44.52	9.2	2 1 3



(5)
This entry pairs a crystal structure of HfZrSn2Pt2 with its theoretical XRD peak list. Radiation: a wavelength of 1.5418 Å. Structure: a crystal structure in OQMD, relaxed with PBE.

```
data_HfZrSn2Pt2
_chemical_formula_sum 'Hf4 Zr4 Sn8 Pt8'
_symmetry_space_group_name_H-M 'P 1 m 1'
_symmetry_Int_Tables_number 6
_cell_length_a 9.037
_cell_length_b 4.518
_cell_length_c 13.556
_cell_angle_alpha 90.00
_cell_angle_beta 109.46
_cell_angle_gamma 90.00
loop_
_symmetry_equiv_pos_as_xyz
'x,y,z'
'x,-y,z'
loop_
_atom_site_label
_atom_site_type_symbol
_atom_site_fract_x
_atom_site_fract_y
_atom_site_fract_z
_atom_site_occupancy
Hf1 Hf 0.000 0.000 0.000 1
Hf2 Hf 0.125 0.500 0.750 1
Hf3 Hf 0.250 0.000 0.500 1
Hf4 Hf 0.500 0.000 0.000 1
Zr1 Zr 0.375 0.500 0.250 1
Zr2 Zr 0.625 0.500 0.750 1
Zr3 Zr 0.750 0.000 0.500 1
Zr4 Zr 0.875 0.500 0.250 1
Sn1 Sn 0.000 0.500 0.500 1
Sn2 Sn 0.125 0.000 0.250 1
Sn3 Sn 0.250 0.500 0.999 1
Sn4 Sn 0.375 0.000 0.750 1
Sn5 Sn 0.500 0.500 0.501 1
Sn6 Sn 0.625 0.000 0.250 1
Sn7 Sn 0.750 0.500 0.000 1
Sn8 Sn 0.876 0.000 0.751 1
Pt1 Pt 0.062 0.500 0.123 1
Pt2 Pt 0.188 0.000 0.875 1
Pt3 Pt 0.310 0.500 0.625 1
Pt4 Pt 0.436 0.000 0.376 1
Pt5 Pt 0.561 0.500 0.123 1
Pt6 Pt 0.688 0.000 0.877 1
Pt7 Pt 0.815 0.500 0.627 1
Pt8 Pt 0.940 0.000 0.376 1
```

Main lines, by intensity (5 to 70 degrees two-theta):
2θ (°)	I/Imax	h k l
39.90	100.0	2 1 3
24.12	45.1	2 0 1
47.17	22.9	4 1 0
57.71	17.2	0 0 8
63.46	9.5	0 3 2
27.93	2.7	0 0 4
6.92	1.1	0 0 1
65.31	1.0	2 1 7
10.38	0.9	1 0 0
49.41	0.8	4 0 2
13.86	0.5	0 0 2



(6)
This entry pairs a crystal structure of Hf2Zn3Pt with its theoretical XRD peak list. Radiation: a wavelength of 1.5418 Å. Structure: a crystal structure in OQMD, relaxed with PBE.

```
data_Hf2Zn3Pt
_chemical_formula_sum 'Hf2 Zn3 Pt1'
_symmetry_space_group_name_H-M 'P 4 m m'
_symmetry_Int_Tables_number 99
_cell_length_a 3.167
_cell_length_b 3.167
_cell_length_c 10.144
_cell_angle_alpha 90.00
_cell_angle_beta 90.00
_cell_angle_gamma 90.00
loop_
_symmetry_equiv_pos_as_xyz
'x,y,z'
'-y,x,z'
'-x,-y,z'
'y,-x,z'
'-x,y,z'
'y,x,z'
'x,-y,z'
'-y,-x,z'
loop_
_atom_site_label
_atom_site_type_symbol
_atom_site_fract_x
_atom_site_fract_y
_atom_site_fract_z
_atom_site_occupancy
Hf1 Hf 0.000 0.000 0.000 1
Hf2 Hf 0.500 0.500 0.479 1
Zn1 Zn 0.000 0.000 0.307 1
Zn2 Zn 0.000 0.000 0.667 1
Zn3 Zn 0.500 0.500 0.810 1
Pt1 Pt 0.500 0.500 0.162 1
```

Main lines, by intensity (5 to 70 degrees two-theta):
2θ (°)	I/Imax	h k l
38.97	100.0	1 0 3
40.28	47.4	1 1 0
8.72	29.2	0 0 1
58.27	16.0	2 0 0
69.69	15.8	1 1 6
29.55	14.7	1 0 1
54.26	8.5	0 0 6
17.49	7.3	0 0 2
45.84	5.1	1 0 4
54.68	4.3	1 1 4
35.39	3.7	0 0 4
66.69	3.2	2 1 1



(7)
This entry pairs a crystal structure of Hf2ZnPt with its theoretical XRD peak list. Radiation: a wavelength of 1.5418 Å. Structure: a crystal structure in OQMD, relaxed with PBE.

```
data_Hf2ZnPt
_chemical_formula_sum 'Hf4 Zn2 Pt2'
_symmetry_space_group_name_H-M 'I 4/m m m'
_symmetry_Int_Tables_number 139
_symmetry_space_group_name_Hall '-I 4 2'
_cell_length_a 4.293
_cell_length_b 4.293
_cell_length_c 7.822
_cell_angle_alpha 90.00
_cell_angle_beta 90.00
_cell_angle_gamma 90.00
loop_
_atom_site_label
_atom_site_type_symbol
_atom_site_fract_x
_atom_site_fract_y
_atom_site_fract_z
_atom_site_occupancy
Hf1 Hf 0.000 0.500 0.250 1
Zn1 Zn 0.000 0.000 0.000 1
Pt1 Pt 0.000 0.000 0.500 1
```

Main lines, by intensity (5 to 70 degrees two-theta):
2θ (°)	I/Imax	h k l
37.51	100.0	1 1 2
42.10	36.3	2 0 0
64.46	20.6	2 0 4
46.44	13.7	0 0 4
23.64	12.2	1 0 1
61.05	12.2	2 2 0
48.85	3.7	2 1 1
40.48	3.1	1 0 3
59.83	2.1	2 1 3
29.43	1.9	1 1 0
22.74	1.8	0 0 2
48.37	1.0	2 0 2



(8)
This entry pairs a crystal structure of HfZrPt with its theoretical XRD peak list. Radiation: a wavelength of 1.5418 Å. Structure: a crystal structure in OQMD, relaxed with PBE.

```
data_HfZrPt
_chemical_formula_sum 'Hf2 Zr2 Pt2'
_symmetry_space_group_name_H-M 'P 4/m m m'
_symmetry_Int_Tables_number 123
_symmetry_space_group_name_Hall '-P 4 2'
_cell_length_a 3.340
_cell_length_b 3.340
_cell_length_c 10.620
_cell_angle_alpha 90.00
_cell_angle_beta 90.00
_cell_angle_gamma 90.00
loop_
_atom_site_label
_atom_site_type_symbol
_atom_site_fract_x
_atom_site_fract_y
_atom_site_fract_z
_atom_site_occupancy
Hf1 Hf 0.000 0.000 0.154 1
Zr1 Zr 0.500 0.500 0.341 1
Pt1 Pt 0.000 0.000 0.500 1
Pt2 Pt 0.500 0.500 0.000 1
```

Main lines, by intensity (5 to 70 degrees two-theta):
2θ (°)	I/Imax	h k l
37.00	100.0	1 0 3
38.10	47.4	1 1 0
68.14	33.7	2 1 3
65.95	17.1	1 1 6
54.98	16.5	2 0 0
51.64	8.9	0 0 6
8.33	8.4	0 0 1
16.70	6.7	0 0 2
50.95	4.1	1 0 5
26.69	3.7	1 0 0
41.86	2.9	1 1 2
25.16	1.9	0 0 3



(9)
This entry pairs a crystal structure of PuHf with its theoretical XRD peak list. Radiation: a wavelength of 1.5418 Å. Structure: a crystal structure in OQMD, relaxed with PBE.

```
data_PuHf
_chemical_formula_sum 'Pu1 Hf1'
_symmetry_space_group_name_H-M 'P -6 m 2'
_symmetry_Int_Tables_number 187
_symmetry_space_group_name_Hall 'P -6 2'
_cell_length_a 2.9557
_cell_length_b 2.9557
_cell_length_c 5.3903
_cell_angle_alpha 90.00
_cell_angle_beta 90.00
_cell_angle_gamma 120.00
loop_
_atom_site_label
_atom_site_type_symbol
_atom_site_fract_x
_atom_site_fract_y
_atom_site_fract_z
_atom_site_occupancy
Pu1 Pu 0.0000 0.0000 0.0000 1
Hf1 Hf 0.3333 0.6667 0.5000 1
```

Main lines, by intensity (5 to 70 degrees two-theta):
2θ (°)	I/Imax	h k l
38.95	100.0	1 0 1
33.24	33.7	0 0 2
63.23	24.8	1 0 3
35.06	23.3	1 0 0
49.08	18.4	1 0 2
62.89	16.7	1 1 0
69.79	4.1	0 0 4
16.45	3.4	0 0 1
65.49	0.7	1 1 1



(10)
This entry pairs a crystal structure of RbHf3Te6 with its theoretical XRD peak list. Radiation: a wavelength of 1.5418 Å. Structure: a crystal structure in OQMD, relaxed with PBE.

```
data_RbHf3Te6
_chemical_formula_sum 'Rb1 Hf3 Te6'
_symmetry_space_group_name_H-M 'P -3 m 1'
_symmetry_Int_Tables_number 164
_symmetry_space_group_name_Hall '-P 3 2"'
_cell_length_a 4.0387
_cell_length_b 4.0387
_cell_length_c 22.6450
_cell_angle_alpha 90.00
_cell_angle_beta 90.00
_cell_angle_gamma 120.00
loop_
_atom_site_label
_atom_site_type_symbol
_atom_site_fract_x
_atom_site_fract_y
_atom_site_fract_z
_atom_site_occupancy
Rb1 Rb 0.0000 0.0000 0.0000 1
Hf1 Hf 0.0000 0.0000 0.1995 1
Hf2 Hf 0.0000 0.0000 0.5000 1
Te1 Te 0.3333 0.6667 0.2744 1
Te2 Te 0.3333 0.6667 0.5768 1
Te3 Te 0.3333 0.6667 0.8796 1
```

Main lines, by intensity (5 to 70 degrees two-theta):
2θ (°)	I/Imax	h k l
28.12	100.0	0 1 3
44.89	58.9	1 1 0
11.72	58.8	0 0 3
30.03	53.4	0 1 4
37.88	47.6	1 0 7
34.98	46.6	0 1 6
47.85	41.5	1 0 10
32.34	23.2	0 1 5
53.81	16.4	2 0 3
67.69	13.6	0 2 10
61.53	12.5	1 1 10
60.15	12.4	0 2 7



(11)
This entry pairs a crystal structure of Hf9Re4Se with its theoretical XRD peak list. Radiation: a wavelength of 1.5418 Å. Structure: a crystal structure in OQMD, relaxed with PBE.

```
data_Hf9Re4Se
_chemical_formula_sum 'Hf18 Re8 Se2'
_symmetry_space_group_name_H-M 'P 63/m m c'
_symmetry_Int_Tables_number 194
_symmetry_space_group_name_Hall '-P 6c 2c'
_cell_length_a 8.6442
_cell_length_b 8.6442
_cell_length_c 8.5669
_cell_angle_alpha 90.00
_cell_angle_beta 90.00
_cell_angle_gamma 120.00
loop_
_atom_site_label
_atom_site_type_symbol
_atom_site_fract_x
_atom_site_fract_y
_atom_site_fract_z
_atom_site_occupancy
Hf1 Hf 0.0899 0.5449 0.2500 1
Hf2 Hf 0.1914 0.3827 0.5501 1
Re1 Re 0.0000 0.0000 0.0000 1
Re2 Re 0.1098 0.2196 0.2500 1
Se1 Se 0.3333 0.6667 0.7500 1
```

Main lines, by intensity (5 to 70 degrees two-theta):
2θ (°)	I/Imax	h k l
38.12	100.0	2 1 2
37.54	69.5	3 0 1
39.70	49.1	2 0 3
41.81	32.0	2 2 0
11.82	31.3	1 0 0
66.16	25.4	3 0 5
66.11	23.0	5 0 2
63.18	20.8	3 2 3
33.59	20.7	1 0 3
42.19	19.2	0 0 4
31.75	17.5	2 0 2
35.99	15.1	3 0 0



(12)
This entry pairs a crystal structure of HfReSi2 with its theoretical XRD peak list. Radiation: a wavelength of 1.5418 Å. Structure: a crystal structure in OQMD, relaxed with PBE.

```
data_HfReSi2
_chemical_formula_sum 'Hf12 Re12 Si24'
_symmetry_space_group_name_H-M 'P b a m'
_symmetry_Int_Tables_number 55
_cell_length_a 9.173
_cell_length_b 10.058
_cell_length_c 8.103
_cell_angle_alpha 90.00
_cell_angle_beta 90.00
_cell_angle_gamma 90.00
loop_
_symmetry_equiv_pos_as_xyz
'x,y,z'
'-x,-y,-z'
'-x,-y,z'
'x,y,-z'
'x+1/2,-y+1/2,-z'
'-x+1/2,y+1/2,z'
'-x+1/2,y+1/2,-z'
'x+1/2,-y+1/2,z'
loop_
_atom_site_label
_atom_site_type_symbol
_atom_site_fract_x
_atom_site_fract_y
_atom_site_fract_z
_atom_site_occupancy
Hf1 Hf 0.170 0.180 0.000 1
Hf2 Hf 0.175 0.452 0.247 1
Re1 Re 0.000 0.000 0.245 1
Re2 Re 0.085 0.739 0.249 1
Si1 Si 0.034 0.614 0.000 1
Si2 Si 0.035 0.615 0.500 1
Si3 Si 0.126 0.904 0.500 1
Si4 Si 0.131 0.899 0.000 1
Si5 Si 0.166 0.181 0.354 1
```

Main lines, by intensity (5 to 70 degrees two-theta):
2θ (°)	I/Imax	h k l
37.94	100.0	3 1 2
21.94	90.5	0 0 2
40.06	84.2	2 3 2
42.30	54.0	0 4 2
44.74	48.0	0 0 4
39.90	43.9	3 3 0
37.07	40.2	1 4 0
30.76	38.9	2 1 2
40.34	38.2	4 1 0
68.16	36.1	6 2 2
33.10	32.0	2 3 0
10.92	25.3	0 0 1



(13)
This entry pairs a crystal structure of HfSc2S4 with its theoretical XRD peak list. Radiation: a wavelength of 1.5418 Å. Structure: a crystal structure in OQMD, relaxed with PBE.

```
data_HfSc2S4
_chemical_formula_sum 'Hf2 Sc4 S8'
_symmetry_space_group_name_H-M 'C m m m'
_symmetry_Int_Tables_number 65
_symmetry_space_group_name_Hall '-C 2 2'
_cell_length_a 7.405
_cell_length_b 10.263
_cell_length_c 3.628
_cell_angle_alpha 90.00
_cell_angle_beta 90.00
_cell_angle_gamma 90.00
loop_
_atom_site_label
_atom_site_type_symbol
_atom_site_fract_x
_atom_site_fract_y
_atom_site_fract_z
_atom_site_occupancy
Hf1 Hf 0.000 0.000 0.000 1
Sc1 Sc 0.250 0.250 0.500 1
S1 S 0.000 0.253 0.000 1
S2 S 0.246 0.000 0.500 1
```

Main lines, by intensity (5 to 70 degrees two-theta):
2θ (°)	I/Imax	h k l
14.75	100.0	1 1 0
34.61	65.2	2 0 1
28.75	61.9	1 3 0
50.03	43.2	2 4 1
34.97	31.6	0 4 0
38.14	20.1	1 3 1
45.30	18.6	3 1 1
52.71	15.0	1 1 2
49.22	11.4	4 0 0
61.80	11.1	4 4 0
62.72	10.6	0 4 2
50.29	10.6	0 0 2